(1)
For TmSbPdRh, a GGA-PBE-relaxed structure gives the calculated powder XRD pattern in this record (Cu Kα, 1.54184 Å).
Lines closer than 0.1° are merged.

Structural model:
Unit cell a=6.6881 b=6.6881 c=6.6881 alpha=90.00 beta=90.00 gamma=90.00
Space group F-43m (No. 216)
One atom of each set of equivalent atoms:
Tm 0.0000 0.0000 0.0000 [4 per cell]
Sb 0.0000 0.0000 0.5000 [4 per cell]
Pd 0.2500 0.2500 0.7500 [4 per cell]
Rh 0.2500 0.2500 0.2500 [4 per cell]

Main lines, sorted by position (2θ from 10° to 90°):
(1 1 1), 23.03°, d = 3.861 Å, I = 2.0
(2 0 0), 26.66°, d = 3.344 Å, I = 2.7
(2 2 0), 38.06°, d = 2.365 Å, I = 100.0
(3 1 1), 44.95°, d = 2.017 Å, I = 1.1
(2 2 2), 47.07°, d = 1.931 Å, I = 0.8
(4 0 0), 54.91°, d = 1.672 Å, I = 17.1
(4 2 0), 62.06°, d = 1.496 Å, I = 1.1
(4 2 2), 68.76°, d = 1.365 Å, I = 34.5
(4 4 0), 81.39°, d = 1.182 Å, I = 10.9
(6 0 0), 87.51°, d = 1.115 Å, I = 0.6

(2)
For H13PtC3N3Cl2O, a GGA-PBE-relaxed structure gives the calculated powder XRD pattern in this record (Cu Kα, 1.54184 Å).
Lines closer than 0.1° are merged.

Structural model:
Unit cell a=6.3912 b=7.3644 c=11.6739 alpha=104.55 beta=95.40 gamma=101.23
Space group P-1 (No. 2)
One atom of each set of equivalent atoms:
H 0.0470 0.3034 0.3530 [2 per cell]
H 0.0562 0.6641 0.3040 [2 per cell]
H 0.0609 0.0742 0.3724 [2 per cell]
H 0.1580 0.2493 0.9381 [2 per cell]
H 0.1953 0.0350 0.8721 [2 per cell]
H 0.2631 0.2812 0.4555 [2 per cell]
H 0.2702 0.2203 0.8134 [2 per cell]
H 0.3065 0.6699 0.5652 [2 per cell]
H 0.3264 0.3935 0.1325 [2 per cell]
H 0.3339 0.9180 0.5725 [2 per cell]
H 0.3430 0.7492 0.4337 [2 per cell]
H 0.4080 0.2175 0.1776 [2 per cell]
H 0.4256 0.5624 0.7934 [2 per cell]
Pt 0.4325 0.7675 0.0142 [2 per cell]
C 0.0591 0.3155 0.6315 [2 per cell]
C 0.0916 0.2286 0.4188 [2 per cell]
C 0.2674 0.7704 0.5153 [2 per cell]
N 0.0345 0.7375 0.4836 [2 per cell]
N 0.2626 0.1804 0.8917 [2 per cell]
N 0.4565 0.3341 0.1446 [2 per cell]
Cl 0.0908 0.7129 0.9036 [2 per cell]
Cl 0.3178 0.8926 0.1956 [2 per cell]
O 0.2568 0.3386 0.6656 [2 per cell]

Main lines, sorted by position (2θ from 10° to 90°):
(1 0 0), 14.29°, d = 6.197 Å, I = 52.6
(1 0 -1), 15.27°, d = 5.803 Å, I = 90.0
(0 0 2), 15.87°, d = 5.585 Å, I = 87.2
(1 -1 0), 16.86°, d = 5.258 Å, I = 36.9
(1 0 1), 17.38°, d = 5.103 Å, I = 72.6
(1 0 2), 22.96°, d = 3.874 Å, I = 36.1
(0 2 -1), 24.67°, d = 3.609 Å, I = 38.7
(0 2 0), 25.66°, d = 3.471 Å, I = 61.6
(0 2 -2), 26.20°, d = 3.401 Å, I = 100.0
(2 -1 2), 33.46°, d = 2.678 Å, I = 29.8